# 1
Structure and simulated powder diffractogram of KNdMo2O8 (a structure optimized by DFT (PBE+U); CuKα).

The 8 most intense peaks (10 to 80 degrees two-theta), by angle:
2theta	I_rel
13.9	53
27.2	28
27.4	100
28.1	87
30.1	40
33.6	16
45.7	25
52.6	19

Atomic structure:
Lattice parameters (Å, degrees): 7.6409 7.6409 7.9345 118.36 118.36 88.45
Element x y z (fractional)
K (0.2004, 0.7996, 0.7500)
K (0.7996, 0.2004, 0.2500)
Nd (0.2296, 0.7704, 0.2500)
Nd (0.7704, 0.2296, 0.7500)
Mo (0.3035, 0.3075, 0.7606)
Mo (0.3075, 0.3035, 0.2606)
Mo (0.6925, 0.6965, 0.7394)
Mo (0.6965, 0.6925, 0.2394)
O (0.0529, 0.2061, 0.6904)
O (0.0732, 0.3849, 0.1310)
O (0.2061, 0.0529, 0.1904)
O (0.2332, 0.3858, 0.5634)
O (0.3690, 0.5819, 0.0251)
O (0.3849, 0.0732, 0.6310)
O (0.3858, 0.2332, 0.0634)
O (0.4181, 0.6310, 0.4749)
O (0.5819, 0.3690, 0.5251)
O (0.6142, 0.7668, 0.9366)
O (0.6151, 0.9268, 0.3690)
O (0.6310, 0.4181, 0.9749)
O (0.7668, 0.6142, 0.4366)
O (0.7939, 0.9471, 0.8096)
O (0.9268, 0.6151, 0.8690)
O (0.9471, 0.7939, 0.3096)



# 2
Structure and simulated powder diffractogram of KMo4O6 (a structure optimized by DFT (PBE+U); CuKα).

The 8 most intense peaks (10 to 80 degrees two-theta), by angle:
2theta	I_rel
12.4	88
27.9	86
33.8	100
35.5	22
42.4	47
51.1	17
56.5	33
62.7	18

Atomic structure:
Lattice parameters (Å, degrees): 10.1128 10.1128 3.2724 90.00 90.00 90.00
Element x y z (fractional)
K (0.0000, 0.0000, 0.0000)
K (0.5000, 0.5000, 0.0000)
Mo (0.1168, 0.3832, 0.5000)
Mo (0.1529, 0.6529, 0.0000)
Mo (0.3471, 0.1529, 0.0000)
Mo (0.3832, 0.8832, 0.5000)
Mo (0.6168, 0.1168, 0.5000)
Mo (0.6529, 0.8471, 0.0000)
Mo (0.8471, 0.3471, 0.0000)
Mo (0.8832, 0.6168, 0.5000)
O (0.0484, 0.7436, 0.5000)
O (0.2036, 0.2964, 0.0000)
O (0.2436, 0.5484, 0.5000)
O (0.2564, 0.0484, 0.5000)
O (0.2964, 0.7964, 0.0000)
O (0.4516, 0.2436, 0.5000)
O (0.5484, 0.7564, 0.5000)
O (0.7036, 0.2036, 0.0000)
O (0.7436, 0.9516, 0.5000)
O (0.7564, 0.4516, 0.5000)
O (0.7964, 0.7036, 0.0000)
O (0.9516, 0.2564, 0.5000)



# 3
Structure and simulated powder diffractogram of K4MoO8 (a structure optimized by DFT (PBE+U); CuKα).

The 8 most intense peaks (10 to 80 degrees two-theta), by angle:
2theta	I_rel
12.3	91
15.4	100
26.2	46
28.3	51
28.6	84
29.5	76
29.8	43
36.4	41

Atomic structure:
Lattice parameters (Å, degrees): 6.2603 6.3417 7.1701 88.99 89.12 65.41
Element x y z (fractional)
K (0.0000, 0.0000, 0.0000)
K (0.0647, 0.9883, 0.4761)
K (0.3043, 0.3909, 0.7939)
K (0.6939, 0.6441, 0.3648)
Mo (0.6243, 0.7511, 0.8585)
O (0.1504, 0.5306, 0.2395)
O (0.1625, 0.4409, 0.4318)
O (0.2863, 0.6714, 0.2141)
O (0.3569, 0.8048, 0.7409)
O (0.5507, 0.9334, 0.0584)
O (0.7796, 0.4531, 0.9954)
O (0.7930, 0.8627, 0.7184)
O (0.8223, 0.4037, 0.7853)



# 4
Structure and simulated powder diffractogram of KMo4O8 (a structure optimized by DFT (PBE+U); CuKα).

The 8 most intense peaks (10 to 80 degrees two-theta), by angle:
2theta	I_rel
12.0	31
17.1	87
27.1	87
36.5	100
47.7	34
47.8	33
52.7	16
57.3	21

Atomic structure:
Lattice parameters (Å, degrees): 10.3728 5.8137 14.6694 90.00 134.76 90.00
Element x y z (fractional)
K (0.0000, 0.1301, 0.2500)
K (0.0000, 0.3586, 0.7500)
K (0.0000, 0.6414, 0.2500)
K (0.0000, 0.8699, 0.7500)
Mo (0.1566, 0.4045, 0.0735)
Mo (0.1566, 0.5955, 0.5735)
Mo (0.1843, 0.1548, 0.5805)
Mo (0.1843, 0.8452, 0.0805)
Mo (0.4771, 0.1681, 0.4018)
Mo (0.4771, 0.8319, 0.9018)
Mo (0.4890, 0.3838, 0.9208)
Mo (0.4890, 0.6162, 0.4208)
Mo (0.5110, 0.3838, 0.5792)
Mo (0.5110, 0.6162, 0.0792)
Mo (0.5229, 0.1681, 0.0982)
Mo (0.5229, 0.8319, 0.5982)
Mo (0.8157, 0.1548, 0.9195)
Mo (0.8157, 0.8452, 0.4195)
Mo (0.8434, 0.4045, 0.4265)
Mo (0.8434, 0.5955, 0.9265)
O (0.0362, 0.3755, 0.4204)
O (0.0362, 0.6245, 0.9204)
O (0.0406, 0.1239, 0.9480)
O (0.0406, 0.8761, 0.4480)
O (0.2915, 0.1240, 0.2087)
O (0.2915, 0.8760, 0.7087)
O (0.2998, 0.3940, 0.3810)
O (0.2998, 0.6060, 0.8810)
O (0.3037, 0.3725, 0.7220)
O (0.3037, 0.6275, 0.2220)
O (0.3449, 0.1092, 0.9039)
O (0.3449, 0.8908, 0.4039)
O (0.3639, 0.3837, 0.0830)
O (0.3639, 0.6163, 0.5830)
O (0.3706, 0.1179, 0.5833)
O (0.3706, 0.8821, 0.0832)
O (0.6294, 0.1179, 0.9168)
O (0.6294, 0.8821, 0.4168)
O (0.6361, 0.3837, 0.4170)
O (0.6361, 0.6163, 0.9170)
O (0.6551, 0.1092, 0.5961)
O (0.6551, 0.8908, 0.0961)
O (0.6963, 0.3725, 0.7780)
O (0.6963, 0.6275, 0.2780)
O (0.7002, 0.3940, 0.1190)
O (0.7002, 0.6060, 0.6190)
O (0.7085, 0.1240, 0.2913)
O (0.7085, 0.8760, 0.7913)
O (0.9594, 0.1239, 0.5520)
O (0.9594, 0.8761, 0.0520)
O (0.9638, 0.3755, 0.0796)
O (0.9638, 0.6245, 0.5796)



# 5
Structure and simulated powder diffractogram of KMo4O8 (a structure optimized by DFT (PBE+U); CuKα).

The 8 most intense peaks (10 to 80 degrees two-theta), by angle:
2theta	I_rel
11.9	39
16.9	43
26.9	82
33.5	100
45.2	43
52.3	20
54.9	44
63.6	41

Atomic structure:
Lattice parameters (Å, degrees): 10.4877 10.4877 6.5199 90.00 90.00 90.00
Element x y z (fractional)
K (0.2500, 0.2500, 0.1319)
K (0.2500, 0.2500, 0.6370)
K (0.7500, 0.7500, 0.3630)
K (0.7500, 0.7500, 0.8681)
Mo (0.0810, 0.9033, 0.8783)
Mo (0.0840, 0.8975, 0.3743)
Mo (0.0967, 0.5810, 0.1217)
Mo (0.1025, 0.5840, 0.6257)
Mo (0.3975, 0.9160, 0.6257)
Mo (0.4033, 0.9190, 0.1217)
Mo (0.4160, 0.6025, 0.3743)
Mo (0.4190, 0.5967, 0.8783)
Mo (0.5810, 0.4033, 0.1217)
Mo (0.5840, 0.3975, 0.6257)
Mo (0.5967, 0.0810, 0.8783)
Mo (0.6025, 0.0840, 0.3743)
Mo (0.8975, 0.4160, 0.3743)
Mo (0.9033, 0.4190, 0.8783)
Mo (0.9160, 0.1025, 0.6257)
Mo (0.9190, 0.0967, 0.1217)
O (0.0482, 0.0934, 0.3785)
O (0.0521, 0.1040, 0.8741)
O (0.0869, 0.7068, 0.3718)
O (0.0876, 0.7067, 0.8636)
O (0.0934, 0.4518, 0.3785)
O (0.1040, 0.4479, 0.8741)
O (0.2067, 0.9124, 0.1364)
O (0.2068, 0.9131, 0.6282)
O (0.2932, 0.5869, 0.6282)
O (0.2933, 0.5876, 0.1364)
O (0.3960, 0.0521, 0.8741)
O (0.4066, 0.0482, 0.3785)
O (0.4124, 0.7933, 0.8636)
O (0.4131, 0.7932, 0.3718)
O (0.4479, 0.3960, 0.8741)
O (0.4518, 0.4066, 0.3785)
O (0.5482, 0.5934, 0.6215)
O (0.5521, 0.6040, 0.1259)
O (0.5869, 0.2068, 0.6282)
O (0.5876, 0.2067, 0.1364)
O (0.5934, 0.9518, 0.6215)
O (0.6040, 0.9479, 0.1259)
O (0.7067, 0.4124, 0.8636)
O (0.7068, 0.4131, 0.3718)
O (0.7932, 0.0869, 0.3718)
O (0.7933, 0.0876, 0.8636)
O (0.8960, 0.5521, 0.1259)
O (0.9066, 0.5482, 0.6215)
O (0.9124, 0.2933, 0.1364)
O (0.9131, 0.2932, 0.6282)
O (0.9479, 0.8960, 0.1259)
O (0.9518, 0.9066, 0.6215)